CsScBr3: calculated X-ray diffraction stick pattern (copper Kα), based on a structure optimized by DFT (PBE).
Neutral-atom scattering factors, no anomalous dispersion.

Crystal structure
Lattice parameters (Å, degrees): 9.2091 4.3112 10.1873 90.00 115.43 90.00
Space group Pm (No. 6)
One atom of each set of equivalent atoms:
1 Cs 0.0000 0.0000 0.0000 (multiplicity 1)
2 Cs 0.3753 0.0000 0.5193 (multiplicity 1)
3 Sc 0.6460 0.5000 0.2106 (multiplicity 1)
4 Sc 0.8843 0.5000 0.5327 (multiplicity 1)
5 Br 0.0922 0.0000 0.6771 (multiplicity 1)
6 Br 0.3436 0.5000 0.1931 (multiplicity 1)
7 Br 0.6094 0.0000 0.0235 (multiplicity 1)
8 Br 0.6877 0.0000 0.3993 (multiplicity 1)
9 Br 0.7341 0.5000 0.7115 (multiplicity 1)
10 Br 0.9817 0.5000 0.3111 (multiplicity 1)

The 10 most intense peaks (2θ from 10° to 90°), by angle:
2θ 26.9, intensity 78, (1 1 1)
2θ 27.8, intensity 53, (2 0 -3)
2θ 28.4, intensity 100, (0 1 2)
2θ 29.4, intensity 22, (3 0 -1)
2θ 32.3, intensity 27, (3 0 0)
2θ 35.3, intensity 20, (1 0 3)
2θ 36.4, intensity 32, (3 1 -2)
2θ 41.6, intensity 20, (1 1 -4)
2θ 41.9, intensity 31, (0 2 0)
2θ 51.0, intensity 20, (2 2 -3)